Record 1
Diffraction record for CeSc5Os6. The powder diffraction line list is theoretical, not measured: it uses a DFT-relaxed cell (GGA-PBE, Alexandria) and Cu Kα.
Kinematic intensities with the Lorentz-polarization factor, no thermal factor.

Atomic structure:
a = 4.607 Å, b = 6.512 Å, c = 7.263 Å
α = 90.00°, β = 108.32°, γ = 90.00°
Fractional coordinates of all 12 atoms:
Ce1 0.000 0.000 0.000
Sc1 0.000 0.500 0.000
Sc2 0.328 0.000 0.656
Sc3 0.332 0.500 0.663
Sc4 0.668 0.500 0.337
Sc5 0.672 0.000 0.344
Os1 0.165 0.251 0.332
Os2 0.165 0.749 0.332
Os3 0.500 0.250 0.000
Os4 0.500 0.750 0.000
Os5 0.835 0.251 0.668
Os6 0.835 0.749 0.668

The 10 most intense peaks (5 to 70 degrees two-theta), in order of rising 2θ:
d (Å)  intensity  hkl
6.895  1  0 0 1
3.628  1  1 1 0
3.255  33  1 0 1
2.301  100  1 2 1
1.879  10  0 2 3
1.629  11  0 4 0
1.625  6  2 0 -4
1.457  6  2 2 2
1.455  7  1 0 4
1.453  1  1 0 -5

Record 2
Diffraction record for PmNiB2Os. The powder diffraction line list is theoretical, not measured: it uses a DFT-relaxed cell (GGA-PBE, Alexandria) and Cu Kα.
Kinematic intensities with the Lorentz-polarization factor, no thermal factor.

Atomic structure:
a = 3.722 Å, b = 3.722 Å, c = 10.081 Å
α = 90.00°, β = 90.00°, γ = 90.00°
Fractional coordinates of all 10 atoms:
Pm1 0.000 0.000 0.000
Pm2 0.500 0.500 0.500
Ni1 0.000 0.500 0.250
Ni2 0.500 0.000 0.750
B1 0.000 0.000 0.347
B2 0.000 0.000 0.653
B3 0.500 0.500 0.153
B4 0.500 0.500 0.847
Os1 0.000 0.500 0.750
Os2 0.500 0.000 0.250

The 10 most intense peaks (5 to 70 degrees two-theta), in order of rising 2θ:
d (Å)  intensity  hkl
5.040  14  0 0 2
3.491  63  1 0 1
2.520  30  0 0 4
2.494  32  1 0 3
2.333  100  1 1 2
1.861  28  2 0 0
1.642  15  2 1 1
1.497  24  2 0 4
1.491  13  2 1 3
1.416  22  1 1 6

Record 3
Diffraction record for Ti3MnAl3Ni2. The powder diffraction line list is theoretical, not measured: it uses a DFT-relaxed cell (GGA-PBE, Alexandria) and Cu Kα.
Kinematic intensities with the Lorentz-polarization factor, no thermal factor.

Atomic structure:
a = 7.138 Å, b = 7.138 Å, c = 2.900 Å
α = 90.00°, β = 90.00°, γ = 120.00°
Fractional coordinates of all 9 atoms:
Ti1 0.000 0.730 0.000
Ti2 0.270 0.270 0.000
Ti3 0.730 0.000 0.000
Mn1 0.000 0.000 0.500
Al1 0.000 0.382 0.500
Al2 0.382 0.000 0.500
Al3 0.618 0.618 0.500
Ni1 0.333 0.667 0.000
Ni2 0.667 0.333 0.000

The 10 most intense peaks (5 to 70 degrees two-theta), in order of rising 2θ:
d (Å)  intensity  hkl
3.569  44  1 1 0
2.900  16  0 0 1
2.626  21  1 0 1
2.336  38  2 1 0
2.251  77  1 1 1
2.115  79  2 0 1
2.061  100  3 0 0
1.819  63  2 1 1
1.450  15  0 0 2
1.349  12  4 1 0

Record 4
Diffraction record for PaZn2Co2. The powder diffraction line list is theoretical, not measured: it uses a DFT-relaxed cell (GGA-PBE, Alexandria) and Cu Kα.
Kinematic intensities with the Lorentz-polarization factor, no thermal factor.

Atomic structure:
a = 7.322 Å, b = 4.490 Å, c = 4.960 Å
α = 90.00°, β = 92.61°, γ = 90.00°
Fractional coordinates of all 10 atoms:
Pa1 0.000 0.000 0.000
Pa2 0.500 0.500 0.000
Zn1 0.167 0.500 0.395
Zn2 0.333 0.000 0.605
Zn3 0.667 0.000 0.395
Zn4 0.833 0.500 0.605
Co1 0.170 0.500 0.887
Co2 0.330 0.000 0.113
Co3 0.670 0.000 0.887
Co4 0.830 0.500 0.113

The 10 most intense peaks (5 to 70 degrees two-theta), in order of rising 2θ:
d (Å)  intensity  hkl
4.955  77  0 0 1
3.064  59  1 1 -1
3.009  30  2 0 -1
2.994  61  1 1 1
2.880  24  2 0 1
2.477  25  0 0 2
2.245  58  0 2 0
2.143  100  3 1 0
2.103  71  1 1 -2
2.009  30  2 0 2

Record 5
Diffraction record for AcInPd. The powder diffraction line list is theoretical, not measured: it uses a DFT-relaxed cell (GGA-PBE, Alexandria) and Cu Kα.
Kinematic intensities with the Lorentz-polarization factor, no thermal factor.

Atomic structure:
a = 7.607 Å, b = 4.727 Å, c = 8.737 Å
α = 90.00°, β = 90.00°, γ = 90.00°
Fractional coordinates of all 12 atoms:
Ac1 0.040 0.250 0.180
Ac2 0.460 0.750 0.680
Ac3 0.540 0.250 0.320
Ac4 0.960 0.750 0.820
In1 0.141 0.250 0.562
In2 0.359 0.750 0.062
In3 0.641 0.250 0.938
In4 0.859 0.750 0.438
Pd1 0.237 0.750 0.379
Pd2 0.263 0.250 0.879
Pd3 0.737 0.750 0.121
Pd4 0.763 0.250 0.621

The 10 most intense peaks (5 to 70 degrees two-theta), in order of rising 2θ:
d (Å)  intensity  hkl
2.958  100  1 1 2
2.806  81  2 1 1
2.720  30  1 0 3
2.479  26  0 1 3
2.363  38  0 2 0
2.357  19  1 1 3
2.193  21  3 0 2
1.784  17  1 2 3
1.608  16  3 2 2
1.562  15  3 1 4

Record 6
Diffraction record for Sr2YAgSn. The powder diffraction line list is theoretical, not measured: it uses a DFT-relaxed cell (GGA-PBE, Alexandria) and Cu Kα.
Kinematic intensities with the Lorentz-polarization factor, no thermal factor.

Atomic structure:
a = 5.804 Å, b = 5.804 Å, c = 5.689 Å
α = 90.00°, β = 90.00°, γ = 90.00°
Fractional coordinates of all 5 atoms:
Sr1 0.000 0.500 0.000
Sr2 0.500 0.000 0.000
Y1 0.000 0.000 0.500
Ag1 0.000 0.000 0.000
Sn1 0.500 0.500 0.500

The 10 most intense peaks (5 to 70 degrees two-theta), in order of rising 2θ:
d (Å)  intensity  hkl
4.104  21  1 1 0
4.063  37  1 0 1
3.328  87  1 1 1
2.902  100  2 0 0
2.844  47  0 0 2
2.361  19  2 1 1
2.052  37  2 2 0
2.031  71  2 0 2
1.747  28  3 1 1
1.664  38  2 2 2

Record 7
Diffraction record for Dy2Ho3Tl2. The powder diffraction line list is theoretical, not measured: it uses a DFT-relaxed cell (GGA-PBE, Alexandria) and Cu Kα.
Kinematic intensities with the Lorentz-polarization factor, no thermal factor.

Atomic structure:
a = 9.317 Å, b = 5.387 Å, c = 8.607 Å
α = 90.00°, β = 111.24°, γ = 90.00°
Fractional coordinates of all 14 atoms:
Dy1 0.075 0.000 0.223
Dy2 0.425 0.500 0.777
Dy3 0.575 0.500 0.223
Dy4 0.925 0.000 0.777
Ho1 0.000 0.500 0.500
Ho2 0.154 0.500 0.962
Ho3 0.346 0.000 0.038
Ho4 0.500 0.000 0.500
Ho5 0.654 0.000 0.962
Ho6 0.846 0.500 0.038
Tl1 0.216 0.000 0.649
Tl2 0.284 0.500 0.351
Tl3 0.716 0.500 0.649
Tl4 0.784 0.000 0.351

The 10 most intense peaks (5 to 70 degrees two-theta), in order of rising 2θ:
d (Å)  intensity  hkl
4.347  4  2 0 0
2.767  100  1 1 2
2.692  100  0 2 0
1.929  36  4 0 1
1.897  5  3 1 2
1.613  16  2 0 4
1.568  37  4 2 1
1.554  19  6 0 -2
1.384  10  2 2 4
1.346  12  0 4 0

Record 8
Diffraction record for Sm4HC2O. The powder diffraction line list is theoretical, not measured: it uses a DFT-relaxed cell (GGA-PBE, Alexandria) and Cu Kα.
Kinematic intensities with the Lorentz-polarization factor, no thermal factor.

Atomic structure:
a = 5.139 Å, b = 5.139 Å, c = 10.389 Å
α = 90.00°, β = 90.00°, γ = 90.00°
Fractional coordinates of all 16 atoms:
Sm1 0.000 0.000 0.238
Sm2 0.000 0.000 0.762
Sm3 0.000 0.500 0.000
Sm4 0.000 0.500 0.500
Sm5 0.500 0.000 0.000
Sm6 0.500 0.000 0.500
Sm7 0.500 0.500 0.262
Sm8 0.500 0.500 0.738
H1 0.000 0.000 0.500
H2 0.500 0.500 0.000
C1 0.000 0.000 0.000
C2 0.000 0.500 0.250
C3 0.500 0.000 0.750
C4 0.500 0.500 0.500
O1 0.000 0.500 0.750
O2 0.500 0.000 0.250

The 10 most intense peaks (5 to 70 degrees two-theta), in order of rising 2θ:
d (Å)  intensity  hkl
2.978  100  1 1 2
2.597  22  0 0 4
2.570  45  2 0 0
1.926  1  1 0 5
1.827  30  2 0 4
1.817  16  2 2 0
1.563  14  1 1 6
1.551  30  3 1 2
1.541  1  2 1 5
1.489  15  2 2 4

What did the eighth record say?
Diffraction record for Sm4HC2O. The powder diffraction line list is theoretical, not measured: it uses a DFT-relaxed cell (GGA-PBE, Alexandria) and Cu Kα.
Kinematic intensities with the Lorentz-polarization factor, no thermal factor.

Atomic structure:
a = 5.139 Å, b = 5.139 Å, c = 10.389 Å
α = 90.00°, β = 90.00°, γ = 90.00°
Fractional coordinates of all 16 atoms:
Sm1 0.000 0.000 0.238
Sm2 0.000 0.000 0.762
Sm3 0.000 0.500 0.000
Sm4 0.000 0.500 0.500
Sm5 0.500 0.000 0.000
Sm6 0.500 0.000 0.500
Sm7 0.500 0.500 0.262
Sm8 0.500 0.500 0.738
H1 0.000 0.000 0.500
H2 0.500 0.500 0.000
C1 0.000 0.000 0.000
C2 0.000 0.500 0.250
C3 0.500 0.000 0.750
C4 0.500 0.500 0.500
O1 0.000 0.500 0.750
O2 0.500 0.000 0.250

The 10 most intense peaks (5 to 70 degrees two-theta), in order of rising 2θ:
d (Å)  intensity  hkl
2.978  100  1 1 2
2.597  22  0 0 4
2.570  45  2 0 0
1.926  1  1 0 5
1.827  30  2 0 4
1.817  16  2 2 0
1.563  14  1 1 6
1.551  30  3 1 2
1.541  1  2 1 5
1.489  15  2 2 4

Please write out number 6 again, unchanged.
Diffraction record for Sr2YAgSn. The powder diffraction line list is theoretical, not measured: it uses a DFT-relaxed cell (GGA-PBE, Alexandria) and Cu Kα.
Kinematic intensities with the Lorentz-polarization factor, no thermal factor.

Atomic structure:
a = 5.804 Å, b = 5.804 Å, c = 5.689 Å
α = 90.00°, β = 90.00°, γ = 90.00°
Fractional coordinates of all 5 atoms:
Sr1 0.000 0.500 0.000
Sr2 0.500 0.000 0.000
Y1 0.000 0.000 0.500
Ag1 0.000 0.000 0.000
Sn1 0.500 0.500 0.500

The 10 most intense peaks (5 to 70 degrees two-theta), in order of rising 2θ:
d (Å)  intensity  hkl
4.104  21  1 1 0
4.063  37  1 0 1
3.328  87  1 1 1
2.902  100  2 0 0
2.844  47  0 0 2
2.361  19  2 1 1
2.052  37  2 2 0
2.031  71  2 0 2
1.747  28  3 1 1
1.664  38  2 2 2